This entry pairs a crystal structure of LaPuNiRu with its simulated powder diffractogram. Radiation: λ = 1.5418 Å (Cu Kα). Structure: a cell relaxed with GGA-PBE.
Lines closer than 0.1° are merged.

The 6 most intense peaks (10° ≤ 2θ ≤ 80°), in order of rising 2θ:
| Position (°2θ) | I (rel.) | (hkl) |
| --- | --- | --- |
| 12.29 | 22 | 0 0 1 |
| 26.37 | 17 | 1 1 0 |
| 35.25 | 29 | 2 0 0 |
| 36.47 | 100 | 1 1 2 |
| 39.91 | 21 | 0 2 0 |
| 54.29 | 17 | 2 2 0 |

Cell and atoms:
```
data_LaPuNiRu
_chemical_formula_sum 'La2 Pu2 Ni2 Ru2'
_symmetry_space_group_name_H-M 'C 1 m 1'
_symmetry_Int_Tables_number 8
_symmetry_space_group_name_Hall 'C -2y'
_cell_length_a 5.0920
_cell_length_b 4.5178
_cell_length_c 7.2002
_cell_angle_alpha 90.00
_cell_angle_beta 90.22
_cell_angle_gamma 90.00
loop_
_atom_site_label
_atom_site_fract_x
_atom_site_fract_y
_atom_site_fract_z
La1 0.0000 0.0000 0.0000
Pu1 0.0004 0.0000 0.5031
Ni1 0.0007 0.5000 0.7184
Ru1 0.0002 0.5000 0.2862
```